Starting from a DFT-relaxed cell (GGA-PBE, the Materials Project), the powder diffraction line list of Zr2AgN3 was computed for Cu Ka.
Kinematic intensities with the Lorentz-polarization factor, no thermal factor.

Peak list (10 most intense, 15 to 90 degrees two-theta, low angle first)
2θ/deg  I_rel
30.1  54
31.1  48
33.7  100
35.3  70
46.2  20
54.8  23
54.9  40
57.9  28
63.9  36
88.0  16

a = 3.3436 Å, b = 3.3436 Å, c = 26.7092 Å
α = 90.00°, β = 90.00°, γ = 120.00°
Positions (direct):
Zr 0.0103 0.6764 0.4459
Zr 0.3236 0.3339 0.7792
Zr 0.3339 0.3236 0.2208
Zr 0.6661 0.9897 0.1126
Zr 0.6764 0.0103 0.5541
Zr 0.9897 0.6661 0.8874
Ag 0.0000 0.6726 0.6667
Ag 0.3274 0.3274 0.0000
Ag 0.6726 0.0000 0.3333
N 0.0000 0.6566 0.1667
N 0.0098 0.6770 0.5878
N 0.3230 0.3328 0.9211
N 0.3328 0.3230 0.0789
N 0.3434 0.3434 0.5000
N 0.6566 0.0000 0.8333
N 0.6672 0.9902 0.2544
N 0.6770 0.0098 0.4122
N 0.9902 0.6672 0.7456


Starting from a DFT-relaxed cell (GGA-PBE, the Materials Project), the powder diffraction line list of Na4Ag was computed for Cu Ka.
Kinematic intensities with the Lorentz-polarization factor, no thermal factor.

Peak list (10 most intense, 15 to 90 degrees two-theta, low angle first)
2θ/deg  I_rel
21.4  100
25.2  56
26.3  26
33.3  50
37.6  41
40.0  37
43.7  43
45.8  17
49.2  16
59.0  26

a = 8.2874 Å, b = 8.2874 Å, c = 8.2874 Å
α = 60.00°, β = 60.00°, γ = 60.00°
Positions (direct):
Na 0.2048 0.7651 0.7651
Na 0.2349 0.2349 0.2349
Na 0.2349 0.2349 0.7952
Na 0.2349 0.7952 0.2349
Na 0.7651 0.2048 0.7651
Na 0.7651 0.7651 0.2048
Na 0.7651 0.7651 0.7651
Na 0.7952 0.2349 0.2349
Ag 0.3750 0.3750 0.3750
Ag 0.6250 0.6250 0.6250


Starting from a DFT-relaxed cell (GGA-PBE, the Materials Project), the powder diffraction line list of NaAgO3 was computed for Cu Ka.
Kinematic intensities with the Lorentz-polarization factor, no thermal factor.

Peak list (10 most intense, 15 to 90 degrees two-theta, low angle first)
2θ/deg  I_rel
21.6  95
30.7  100
44.0  42
49.6  37
54.7  38
64.0  24
68.4  17
72.7  16
81.0  8
89.1  19

a = 4.1124 Å, b = 4.1124 Å, c = 4.1124 Å
α = 90.00°, β = 90.00°, γ = 90.00°
Positions (direct):
Na 0.0000 0.0000 0.0000
Ag 0.5000 0.5000 0.5000
O 0.0000 0.5000 0.5000
O 0.5000 0.0000 0.5000
O 0.5000 0.5000 0.0000


Starting from a DFT-relaxed cell (GGA-PBE, the Materials Project), the powder diffraction line list of Na3AgO2 was computed for Cu Ka.
Kinematic intensities with the Lorentz-polarization factor, no thermal factor.

Peak list (10 most intense, 15 to 90 degrees two-theta, low angle first)
2θ/deg  I_rel
16.1  58
18.0  100
29.2  27
32.4  71
34.0  47
35.0  84
42.2  65
46.5  48
47.7  39
54.2  20

a = 6.8584 Å, b = 6.8584 Å, c = 6.8584 Å
α = 132.47°, β = 72.98°, γ = 128.13°
Positions (direct):
Na 0.0107 0.7500 0.2607
Na 0.2500 0.2500 0.0000
Na 0.4893 0.7500 0.7393
Na 0.5107 0.2500 0.2607
Na 0.7500 0.7500 0.0000
Na 0.9893 0.2500 0.7393
Ag 0.0000 0.5000 0.5000
Ag 0.5000 0.0000 0.5000
O 0.1355 0.2264 0.3619
O 0.3645 0.7264 0.0910
O 0.6355 0.2736 0.9090
O 0.8645 0.7736 0.6381